Diffraction record for TaNbCo2. The powder XRD pattern is theoretical, not measured: it uses DFT lattice parameters and positions (GGA-PBE) and copper Kα.

Atomic structure:
a b c (Å): 5.0067 3.9742 6.1063
angles (deg): 90.00 107.82 90.00
Fractional positions:
Ta  0.2170  0.2500  0.4299
Ta  0.7830  0.7500  0.5701
Nb  0.2163  0.2500  0.9282
Nb  0.7837  0.7500  0.0718
Co  0.3226  0.7500  0.2081
Co  0.3233  0.7500  0.7031
Co  0.6767  0.2500  0.2969
Co  0.6774  0.2500  0.7919

Largest 6 diffraction maxima, sorted by position, 2θ from 10° to 90°:
| d [Å] | Rel. int. | h k l |
| --- | --- | --- |
| 3.052 | 32 | 1 1 0 |
| 2.383 | 36 | 2 0 0 |
| 2.347 | 100 | 1 1 -2 |
| 1.987 | 31 | 0 2 0 |
| 1.926 | 43 | 1 1 2 |
| 1.526 | 30 | 1 0 -4 |